[1]
Computed powder diffraction line list
Compound: Li4MnCo2O7
Radiation: copper Kα
Structure: a DFT-relaxed cell (GGA+U, the Materials Project)
Neutral-atom scattering factors, no anomalous dispersion.

Structural model:
```
data_Li4MnCo2O7
_chemical_formula_sum 'Li8 Mn2 Co4 O14'
_cell_length_a 2.983
_cell_length_b 5.961
_cell_length_c 14.317
_cell_angle_alpha 82.99
_cell_angle_beta 84.62
_cell_angle_gamma 86.00
_symmetry_space_group_name_H-M 'P 1'
_symmetry_Int_Tables_number 1
loop_
_symmetry_equiv_pos_as_xyz
'x,y,z'
loop_
_atom_site_label
_atom_site_fract_x
_atom_site_fract_y
_atom_site_fract_z
Li1 0.000 0.000 0.000
Li2 0.023 0.528 0.000
Li3 0.154 0.083 0.719
Li4 0.299 0.656 0.434
Li5 0.448 0.217 0.137
Li6 0.581 0.805 0.865
Li7 0.728 0.371 0.577
Li8 0.870 0.939 0.286
Mn1 0.299 0.151 0.433
Mn2 0.882 0.449 0.287
Co1 0.156 0.584 0.720
Co2 0.449 0.737 0.140
Co3 0.576 0.289 0.866
Co4 0.724 0.865 0.577
O1 0.052 0.069 0.859
O2 0.113 0.538 0.854
O3 0.194 0.626 0.584
O4 0.258 0.108 0.571
O5 0.343 0.199 0.291
O6 0.409 0.689 0.278
O7 0.502 0.758 0.014
O8 0.521 0.271 0.989
O9 0.622 0.346 0.729
O10 0.686 0.822 0.711
O11 0.764 0.906 0.439
O12 0.837 0.402 0.426
O13 0.928 0.943 0.143
O14 0.961 0.512 0.147
```

Top 8 peaks for 2θ from 10° to 90°, in order of rising 2θ:
2θ/deg  Rel. int.  h k l
18.41  100.0  0 1 2
34.46  19.0  1 1 -1
36.72  22.2  1 -1 2
41.41  33.6  1 2 1
44.57  26.1  1 -2 0
44.81  25.1  0 0 7
62.46  23.3  2 0 1
62.82  8.0  1 2 8

[2]
Computed powder diffraction line list
Compound: Li7Mn2Co3O12
Radiation: copper Kα
Structure: a DFT-relaxed cell (GGA+U, the Materials Project)
Neutral-atom scattering factors, no anomalous dispersion.

Structural model:
```
data_Li7Mn2Co3O12
_chemical_formula_sum 'Li7 Mn2 Co3 O12'
_cell_length_a 5.903
_cell_length_b 2.916
_cell_length_c 12.793
_cell_angle_alpha 90.00
_cell_angle_beta 102.97
_cell_angle_gamma 90.00
_symmetry_space_group_name_H-M 'P 1 2/m 1'
_symmetry_Int_Tables_number 10
loop_
_symmetry_equiv_pos_as_xyz
'x,y,z'
'-x,-y,-z'
'-x,y,-z'
'x,-y,z'
loop_
_atom_site_label
_atom_site_fract_x
_atom_site_fract_y
_atom_site_fract_z
Li1 0.000 0.000 0.000
Li2 0.000 0.500 0.500
Li3 0.167 0.000 0.334
Li4 0.320 0.500 0.152
Li5 0.500 0.000 0.000
Mn1 0.165 0.500 0.841
Co1 0.331 0.000 0.666
Co2 0.500 0.500 0.500
O1 0.056 0.000 0.168
O2 0.106 0.500 0.675
O3 0.244 0.500 0.986
O4 0.261 0.000 0.503
O5 0.389 0.000 0.831
O6 0.436 0.500 0.338
```

Top 8 peaks for 2θ from 10° to 90°, in order of rising 2θ:
2θ/deg  Rel. int.  h k l
15.42  10.5  1 0 0
18.38  100.0  1 0 1
35.90  14.1  1 0 -5
36.04  27.4  1 1 -2
43.61  85.5  2 1 -1
57.52  14.3  3 1 0
63.20  15.0  2 1 5
63.51  15.2  2 1 -7

[3]
Computed powder diffraction line list
Compound: Li7Mn4CoO12
Radiation: copper Kα
Structure: a DFT-relaxed cell (GGA+U, the Materials Project)
Neutral-atom scattering factors, no anomalous dispersion.

Structural model:
```
data_Li7Mn4CoO12
_chemical_formula_sum 'Li7 Mn4 Co1 O12'
_cell_length_a 5.883
_cell_length_b 2.877
_cell_length_c 13.310
_cell_angle_alpha 90.00
_cell_angle_beta 102.51
_cell_angle_gamma 90.00
_symmetry_space_group_name_H-M 'P 1 m 1'
_symmetry_Int_Tables_number 6
loop_
_symmetry_equiv_pos_as_xyz
'x,y,z'
'x,-y,z'
loop_
_atom_site_label
_atom_site_fract_x
_atom_site_fract_y
_atom_site_fract_z
Li1 0.000 0.000 0.000
Li2 0.003 0.500 0.524
Li3 0.334 0.000 0.681
Li4 0.345 0.500 0.185
Li5 0.670 0.500 0.825
Li6 0.677 0.000 0.360
Li7 0.847 0.000 0.678
Mn1 0.162 0.500 0.830
Mn2 0.183 0.000 0.353
Mn3 0.503 0.000 0.003
Mn4 0.840 0.500 0.179
Co1 0.536 0.500 0.539
O1 0.072 0.000 0.186
O2 0.095 0.500 0.692
O3 0.270 0.000 0.498
O4 0.271 0.500 0.998
O5 0.391 0.000 0.838
O6 0.393 0.500 0.339
O7 0.583 0.500 0.675
O8 0.613 0.000 0.179
O9 0.733 0.500 0.007
O10 0.744 0.000 0.513
O11 0.950 0.000 0.843
O12 0.959 0.500 0.350
```

Top 8 peaks for 2θ from 10° to 90°, in order of rising 2θ:
2θ/deg  Rel. int.  h k l
18.26  100.0  1 0 -2
34.53  18.7  1 0 4
36.25  22.7  1 1 1
41.71  26.6  0 0 6
44.02  54.1  2 1 -1
57.93  9.6  3 1 -3
62.14  12.2  2 1 5
62.37  15.1  2 1 -7

[4]
Computed powder diffraction line list
Compound: Li5Mn2CoO8
Radiation: copper Kα
Structure: a DFT-relaxed cell (GGA+U, the Materials Project)
Neutral-atom scattering factors, no anomalous dispersion.

Structural model:
```
data_Li5Mn2CoO8
_chemical_formula_sum 'Li15 Mn6 Co3 O24'
_cell_length_a 2.9580
_cell_length_b 2.9580
_cell_length_c 59.4976
_cell_angle_alpha 90.00
_cell_angle_beta 90.00
_cell_angle_gamma 120.00
_symmetry_space_group_name_H-M 'R -3 m'
_symmetry_Int_Tables_number 166
_symmetry_space_group_name_Hall '-R 3 2"'
loop_
_atom_site_label
_atom_site_fract_x
_atom_site_fract_y
_atom_site_fract_z
Li1 0.0000 0.0000 0.0000
Li2 0.0000 0.0000 0.1265
Li3 0.0000 0.0000 0.3704
Mn1 0.0000 0.0000 0.2494
Co1 0.0000 0.0000 0.5000
O1 0.0000 0.0000 0.0668
O2 0.0000 0.0000 0.1855
O3 0.0000 0.0000 0.3120
O4 0.0000 0.0000 0.4361
```

Top 8 peaks for 2θ from 10° to 90°, in order of rising 2θ:
2θ/deg  Rel. int.  h k l
13.39  16.6  0 0 9
17.89  100.0  0 0 12
35.56  37.5  1 0 4
42.87  95.0  1 0 16
56.25  14.7  1 0 28
61.64  24.5  0 1 32
62.83  25.9  1 1 0
65.91  15.6  1 1 12